CsNiTeAuSe2: simulated powder X-ray diffraction pattern (Cu Kα (weighted mean of Kα1 and Kα2)), based on a GGA-PBE-relaxed structure.
Neutral-atom scattering factors, no anomalous dispersion.

Atomic structure:
Cell: 3.657 17.742 10.666 Å, 90.00 90.00 90.00°
Space group Cmcm (No. 63)
One atom of each set of equivalent atoms:
Cs (0.000, 0.233, 0.250) [4 per cell]
Ni (0.000, 0.500, 0.000) [4 per cell]
Te (0.000, 0.454, 0.750) [4 per cell]
Au (0.000, 0.097, 0.750) [4 per cell]
Se (0.000, 0.091, 0.518) [8 per cell]

Main lines, low angle first (2θ from 10° to 90°):
12.98°, I = 20.0, (0 2 1); 16.62°, I = 28.4, (0 0 2); 28.70°, I = 20.1, (1 3 0); 29.92°, I = 100.0, (1 3 1); 30.22°, I = 20.1, (0 6 0); 31.39°, I = 21.5, (0 6 1); 33.61°, I = 44.1, (0 0 4); 35.24°, I = 23.7, (1 5 0); 38.45°, I = 36.0, (1 3 3); 51.98°, I = 28.4, (1 3 5)